[1]
Ba5P3O13: simulated PXRD pattern (Cu Kα X-rays), based on the PBE geometry in Alexandria.
No peak broadening, texture or thermal motion is included.

Structure:
Cell lengths 10.249, 10.249, 7.709 Å; angles 90.00, 90.00, 120.00 degrees
Fractional positions:
Ba 0.014 0.240 0.250
Ba 0.227 0.986 0.250
Ba 0.240 0.227 0.750
Ba 0.333 0.667 0.502
Ba 0.333 0.667 0.998
Ba 0.667 0.333 0.002
Ba 0.667 0.333 0.498
Ba 0.760 0.773 0.250
Ba 0.773 0.014 0.750
Ba 0.986 0.760 0.750
P 0.029 0.402 0.750
P 0.373 0.971 0.750
P 0.402 0.373 0.250
P 0.598 0.627 0.750
P 0.627 0.029 0.250
P 0.971 0.598 0.250
O 0.000 0.000 0.000
O 0.000 0.000 0.500
O 0.080 0.349 0.587
O 0.080 0.349 0.913
O 0.108 0.577 0.750
O 0.146 0.670 0.250
O 0.269 0.920 0.587
O 0.269 0.920 0.913
O 0.330 0.476 0.250
O 0.349 0.269 0.087
O 0.349 0.269 0.413
O 0.423 0.531 0.750
O 0.469 0.892 0.750
O 0.476 0.146 0.750
O 0.524 0.854 0.250
O 0.531 0.108 0.250
O 0.577 0.469 0.250
O 0.651 0.731 0.587
O 0.651 0.731 0.913
O 0.670 0.524 0.750
O 0.731 0.080 0.087
O 0.731 0.080 0.413
O 0.854 0.330 0.750
O 0.892 0.423 0.250
O 0.920 0.651 0.087
O 0.920 0.651 0.413

Peak list (10 most intense, 2θ from 15° to 90°, in order of falling intensity)
two_theta  d_spacing  Rel. int.
29.01  3.078  100.0
44.42  2.039  22.2
26.57  3.355  22.1
42.36  2.134  19.3
30.21  2.959  18.9
25.19  3.536  18.1
46.91  1.937  15.7
47.27  1.923  13.1
20.01  4.438  12.3
57.09  1.613  11.1

[2]
Li2SmTlBr6: simulated PXRD pattern (Cu Kα X-rays), based on the PBE geometry in Alexandria.
No peak broadening, texture or thermal motion is included.

Structure:
Cell lengths 7.901, 7.901, 7.901 Å; angles 55.41, 55.41, 55.41 degrees
Fractional positions:
Li 0.000 0.000 0.000
Li 0.493 0.493 0.493
Sm 0.689 0.689 0.689
Tl 0.209 0.209 0.209
Br 0.105 0.406 0.751
Br 0.267 0.836 0.675
Br 0.406 0.751 0.105
Br 0.675 0.267 0.836
Br 0.751 0.105 0.406
Br 0.836 0.675 0.267

Peak list (10 most intense, 2θ from 15° to 90°, in order of falling intensity)
two_theta  d_spacing  Rel. int.
27.73  3.217  100.0
16.51  5.368  99.6
36.40  2.468  81.5
29.46  3.032  75.4
22.62  3.931  64.7
42.62  2.121  54.9
33.38  2.684  37.7
41.67  2.167  30.5
38.50  2.338  30.3
47.84  1.901  27.1

[3]
CsTe2Au2S6: simulated PXRD pattern (Cu Kα X-rays), based on the PBE geometry in Alexandria.
No peak broadening, texture or thermal motion is included.

Structure:
Cell lengths 6.205, 7.574, 8.418 Å; angles 84.15, 84.05, 72.46 degrees
Fractional positions:
Cs 0.000 0.000 0.000
Te 0.307 0.367 0.359
Te 0.693 0.633 0.641
Au 0.223 0.428 0.906
Au 0.777 0.572 0.094
S 0.098 0.583 0.662
S 0.374 0.654 0.282
S 0.410 0.218 0.109
S 0.590 0.782 0.891
S 0.626 0.346 0.718
S 0.902 0.417 0.338

Peak list (10 most intense, 2θ from 15° to 90°, in order of falling intensity)
two_theta  d_spacing  Rel. int.
25.19  3.536  100.0
24.90  3.576  80.5
29.15  3.063  47.4
34.07  2.631  44.7
31.05  2.880  42.7
25.89  3.441  37.7
22.11  4.020  35.0
32.21  2.779  29.2
38.19  2.357  24.7
23.83  3.734  24.6

[4]
Sr3Li5Zn6: simulated PXRD pattern (Cu Kα X-rays), based on the PBE geometry in Alexandria.
No peak broadening, texture or thermal motion is included.

Structure:
Cell lengths 8.962, 8.962, 8.962 Å; angles 151.37, 106.93, 80.28 degrees
Fractional positions:
Sr 0.000 0.000 0.000
Sr 0.316 0.316 0.000
Sr 0.684 0.684 0.000
Li 0.005 0.690 0.315
Li 0.376 0.690 0.685
Li 0.500 0.000 0.500
Li 0.624 0.310 0.315
Li 0.995 0.310 0.685
Zn 0.175 0.895 0.280
Zn 0.275 0.500 0.775
Zn 0.384 0.105 0.280
Zn 0.616 0.895 0.720
Zn 0.725 0.500 0.225
Zn 0.825 0.105 0.720

Peak list (10 most intense, 2θ from 15° to 90°, in order of falling intensity)
two_theta  d_spacing  Rel. int.
32.78  2.732  100.0
21.13  4.205  73.3
33.59  2.668  34.9
38.63  2.331  34.2
40.72  2.216  29.7
32.27  2.774  29.3
21.71  4.093  28.8
42.31  2.136  25.5
52.10  1.756  19.4
53.78  1.705  17.6

[5]
TiMo14W: simulated PXRD pattern (Cu Kα X-rays), based on the PBE geometry in Alexandria.
No peak broadening, texture or thermal motion is included.

Structure:
Cell lengths 5.477, 5.477, 8.955 Å; angles 90.00, 90.00, 109.47 degrees
Fractional positions:
Ti 0.000 0.000 0.000
Mo 0.000 0.000 0.500
Mo 0.000 0.500 0.000
Mo 0.000 0.500 0.500
Mo 0.249 0.751 0.249
Mo 0.249 0.751 0.751
Mo 0.250 0.250 0.251
Mo 0.250 0.250 0.749
Mo 0.500 0.000 0.000
Mo 0.500 0.000 0.500
Mo 0.500 0.500 0.500
Mo 0.750 0.750 0.251
Mo 0.750 0.750 0.749
Mo 0.751 0.249 0.249
Mo 0.751 0.249 0.751
W 0.500 0.500 0.000

Peak list (10 most intense, 2θ from 15° to 90°, in order of falling intensity)
two_theta  d_spacing  Rel. int.
40.32  2.237  100.0
73.30  1.291  33.1
58.34  1.582  16.3
87.16  1.118  9.1
19.85  4.473  2.8
17.17  5.164  1.8
87.05  1.119  1.8
34.73  2.583  1.5
26.35  3.383  1.4
54.25  1.691  0.9

[6]
BiPd6Au3: simulated PXRD pattern (Cu Kα X-rays), based on the PBE geometry in Alexandria.
No peak broadening, texture or thermal motion is included.

Structure:
Cell lengths 7.111, 7.111, 7.193 Å; angles 90.00, 90.00, 94.72 degrees
Fractional positions:
Bi 0.149 0.851 0.500
Bi 0.851 0.149 0.000
Pd 0.000 0.498 0.250
Pd 0.000 0.502 0.750
Pd 0.144 0.147 0.748
Pd 0.147 0.144 0.248
Pd 0.372 0.628 0.309
Pd 0.373 0.627 0.689
Pd 0.498 0.000 0.750
Pd 0.502 0.000 0.250
Pd 0.627 0.373 0.189
Pd 0.628 0.372 0.809
Pd 0.853 0.856 0.748
Pd 0.856 0.853 0.248
Au 0.184 0.816 0.999
Au 0.284 0.410 0.999
Au 0.410 0.284 0.499
Au 0.590 0.716 0.999
Au 0.716 0.590 0.499
Au 0.816 0.184 0.499

Peak list (10 most intense, 2θ from 15° to 90°, in order of falling intensity)
two_theta  d_spacing  Rel. int.
38.56  2.335  100.0
37.10  2.423  76.2
41.27  2.188  37.4
40.18  2.244  34.9
35.57  2.524  33.7
39.19  2.299  28.7
50.77  1.798  23.7
21.00  4.231  19.3
71.80  1.315  18.9
67.41  1.389  18.2

[7]
Cs2TmCd3F12: simulated PXRD pattern (Cu Kα X-rays), based on the PBE geometry in Alexandria.
No peak broadening, texture or thermal motion is included.

Structure:
Cell lengths 8.175, 8.175, 8.175 Å; angles 58.61, 58.61, 58.61 degrees
Fractional positions:
Cs 0.119 0.119 0.119
Cs 0.881 0.881 0.881
Tm 0.500 0.500 0.500
Cd 0.000 0.500 0.500
Cd 0.500 0.000 0.500
Cd 0.500 0.500 0.000
F 0.173 0.173 0.580
F 0.173 0.580 0.173
F 0.183 0.572 0.572
F 0.420 0.827 0.827
F 0.428 0.428 0.817
F 0.428 0.817 0.428
F 0.572 0.183 0.572
F 0.572 0.572 0.183
F 0.580 0.173 0.173
F 0.817 0.428 0.428
F 0.827 0.420 0.827
F 0.827 0.827 0.420

Peak list (10 most intense, 2θ from 15° to 90°, in order of falling intensity)
two_theta  d_spacing  Rel. int.
25.89  3.441  100.0
25.49  3.494  64.0
27.20  3.278  59.6
44.34  2.043  42.7
45.33  2.001  40.7
26.09  3.415  32.9
41.31  2.185  30.9
22.22  4.001  23.7
41.05  2.199  23.6
52.72  1.736  19.2

[8]
Mg2Sn2Pd7: simulated PXRD pattern (Cu Kα X-rays), based on the PBE geometry in Alexandria.
No peak broadening, texture or thermal motion is included.

Structure:
Cell lengths 6.585, 6.585, 4.702 Å; angles 94.82, 94.82, 78.74 degrees
Fractional positions:
Mg 0.233 0.233 0.265
Mg 0.767 0.767 0.735
Sn 0.286 0.714 0.500
Sn 0.714 0.286 0.500
Pd 0.061 0.061 0.771
Pd 0.112 0.463 0.764
Pd 0.463 0.112 0.764
Pd 0.500 0.500 0.000
Pd 0.537 0.888 0.236
Pd 0.888 0.537 0.236
Pd 0.939 0.939 0.229

Peak list (10 most intense, 2θ from 15° to 90°, in order of falling intensity)
two_theta  d_spacing  Rel. int.
34.90  2.571  100.0
45.23  2.005  86.3
39.17  2.300  69.0
38.57  2.334  58.3
35.48  2.530  53.5
22.72  3.914  49.4
28.66  3.115  46.0
44.44  2.039  38.5
33.37  2.685  35.1
46.11  1.968  33.5

[9]
Sr2LiInS4: simulated PXRD pattern (Cu Kα X-rays), based on the PBE geometry in Alexandria.
No peak broadening, texture or thermal motion is included.

Structure:
Cell lengths 8.038, 8.038, 8.038 Å; angles 119.30, 118.31, 92.08 degrees
Fractional positions:
Sr 0.000 0.000 0.000
Sr 0.500 0.000 0.000
Sr 0.500 0.000 0.500
Sr 0.500 0.500 0.500
Li 0.000 0.500 0.500
Li 0.500 0.500 0.000
In 0.000 0.000 0.500
In 0.000 0.500 0.000
S 0.221 0.738 0.483
S 0.233 0.244 0.511
S 0.233 0.722 0.989
S 0.245 0.262 0.983
S 0.755 0.738 0.017
S 0.767 0.278 0.011
S 0.767 0.756 0.489
S 0.779 0.262 0.517

Peak list (10 most intense, 2θ from 15° to 90°, in order of falling intensity)
two_theta  d_spacing  Rel. int.
30.91  2.893  100.0
45.15  2.008  63.9
32.08  2.790  43.7
26.90  3.315  20.9
27.16  3.284  20.2
43.94  2.060  17.7
44.62  2.031  17.2
15.88  5.580  16.8
55.44  1.657  16.7
56.01  1.642  16.4